Diffraction record for Ce10In6Si. The X-ray diffraction stick pattern is computed, not measured: it uses a DFT-relaxed cell (PBE, Alexandria) and Cu Kα, 1.54184 Å.
Peak positions follow from Bragg's law for the DFT cell and can differ from measured ones.

Structural model:
Cell: 9.6308 9.6308 6.1844 Å, 90.00 90.00 120.00°
Element x y z (fractional)
Ce 0.0000 0.2526 0.2539
Ce 0.0000 0.7474 0.7461
Ce 0.2526 0.0000 0.2539
Ce 0.2526 0.2526 0.7461
Ce 0.3333 0.6667 0.0000
Ce 0.3333 0.6667 0.5000
Ce 0.6667 0.3333 0.0000
Ce 0.6667 0.3333 0.5000
Ce 0.7474 0.0000 0.7461
Ce 0.7474 0.7474 0.2539
In 0.0000 0.3951 0.7544
In 0.0000 0.6049 0.2456
In 0.3951 0.0000 0.7544
In 0.3951 0.3951 0.2456
In 0.6049 0.0000 0.2456
In 0.6049 0.6049 0.7544
Si 0.0000 0.0000 0.0000

Largest 10 diffraction maxima, most intense first, 15 to 90 degrees two-theta:
d_spacing, two_theta, I_rel
2.809, 31.9, 100
2.602, 34.5, 79
2.780, 32.2, 58
3.152, 28.3, 29
1.725, 53.1, 23
1.900, 47.9, 20
2.167, 41.7, 16
1.828, 49.9, 14
1.729, 53.0, 14
3.092, 28.9, 14

---

Diffraction record for Ce3SmIn2. The X-ray diffraction stick pattern is computed, not measured: it uses a DFT-relaxed cell (PBE, Alexandria) and Cu Kα, 1.54184 Å.
Peak positions follow from Bragg's law for the DFT cell and can differ from measured ones.

Structural model:
Cell: 5.7702 5.9210 10.1629 Å, 93.07 93.92 107.73°
Element x y z (fractional)
Ce 0.1890 0.2347 0.3159
Ce 0.2308 0.8005 0.8521
Ce 0.2546 0.2230 0.9919
Ce 0.7454 0.7770 0.0081
Ce 0.7692 0.1995 0.1479
Ce 0.8110 0.7653 0.6841
Sm 0.2587 0.2933 0.6526
Sm 0.7413 0.7067 0.3474
In 0.2430 0.7309 0.1742
In 0.2799 0.7774 0.5082
In 0.7201 0.2226 0.4918
In 0.7570 0.2691 0.8258

Largest 10 diffraction maxima, most intense first, 15 to 90 degrees two-theta:
d_spacing, two_theta, I_rel
2.758, 32.5, 100
2.811, 31.8, 86
2.728, 32.8, 82
2.737, 32.7, 82
2.538, 35.4, 69
2.360, 38.1, 47
2.288, 39.4, 46
1.714, 53.5, 19
1.718, 53.3, 18
1.685, 54.5, 17

---

Diffraction record for CeSm2In6. The X-ray diffraction stick pattern is computed, not measured: it uses a DFT-relaxed cell (PBE, Alexandria) and Cu Kα, 1.54184 Å.
Peak positions follow from Bragg's law for the DFT cell and can differ from measured ones.

Structural model:
Cell: 8.7091 8.7091 3.6390 Å, 90.00 90.00 120.00°
Element x y z (fractional)
Ce 0.0000 0.0000 0.0000
Sm 0.3333 0.6667 0.0000
Sm 0.6667 0.3333 0.0000
In 0.0000 0.3339 0.5000
In 0.0000 0.6661 0.5000
In 0.3339 0.0000 0.5000
In 0.3339 0.3339 0.5000
In 0.6661 0.0000 0.5000
In 0.6661 0.6661 0.5000

Largest 10 diffraction maxima, most intense first, 15 to 90 degrees two-theta:
d_spacing, two_theta, I_rel
2.792, 32.1, 100
2.514, 35.7, 78
1.868, 48.7, 31
1.500, 61.9, 30
1.474, 63.1, 29
1.452, 64.2, 14
1.135, 85.6, 12
1.146, 84.5, 12
1.819, 50.1, 10
1.257, 75.7, 8

---

Diffraction record for CeSmIn3. The X-ray diffraction stick pattern is computed, not measured: it uses a DFT-relaxed cell (PBE, Alexandria) and Cu Kα, 1.54184 Å.
Peak positions follow from Bragg's law for the DFT cell and can differ from measured ones.

Structural model:
Cell: 7.5733 7.5733 6.1077 Å, 90.00 90.00 120.00°
Element x y z (fractional)
Ce 0.0000 0.0000 0.0000
Ce 0.0000 0.0000 0.5000
Sm 0.3333 0.6667 0.2500
Sm 0.6667 0.3333 0.7500
In 0.2054 0.4108 0.7500
In 0.2054 0.7946 0.7500
In 0.4108 0.2054 0.2500
In 0.5892 0.7946 0.7500
In 0.7946 0.2054 0.2500
In 0.7946 0.5892 0.2500

Largest 10 diffraction maxima, most intense first, 15 to 90 degrees two-theta:
d_spacing, two_theta, I_rel
2.889, 31.0, 100
2.235, 40.4, 49
2.768, 32.3, 42
3.787, 23.5, 42
2.479, 36.2, 35
1.563, 59.1, 23
1.730, 52.9, 22
2.058, 44.0, 22
1.893, 48.1, 21
3.054, 29.2, 20

---

Diffraction record for Ce6In5Sn. The X-ray diffraction stick pattern is computed, not measured: it uses a DFT-relaxed cell (PBE, Alexandria) and Cu Kα, 1.54184 Å.
Peak positions follow from Bragg's law for the DFT cell and can differ from measured ones.

Structural model:
Cell: 7.6015 7.6015 9.4051 Å, 90.00 90.00 143.13°
Element x y z (fractional)
Ce 0.0000 0.0000 0.2478
Ce 0.0000 0.0000 0.7522
Ce 0.3340 0.6660 0.2489
Ce 0.3340 0.6660 0.7511
Ce 0.6660 0.3340 0.2489
Ce 0.6660 0.3340 0.7511
In 0.1666 0.8334 0.5000
In 0.1694 0.8306 0.0000
In 0.5000 0.5000 0.5000
In 0.8306 0.1694 0.0000
In 0.8334 0.1666 0.5000
Sn 0.5000 0.5000 0.0000

Largest 10 diffraction maxima, most intense first, 15 to 90 degrees two-theta:
d_spacing, two_theta, I_rel
2.755, 32.5, 100
2.404, 37.4, 34
1.447, 64.4, 27
1.681, 54.6, 23
2.351, 38.3, 16
1.423, 65.6, 13
1.700, 53.9, 12
1.378, 68.1, 12
1.091, 89.9, 11
1.102, 88.8, 6

---

Diffraction record for CeIn3Sn3. The X-ray diffraction stick pattern is computed, not measured: it uses a DFT-relaxed cell (PBE, Alexandria) and Cu Kα, 1.54184 Å.
Peak positions follow from Bragg's law for the DFT cell and can differ from measured ones.

Structural model:
Cell: 6.5582 6.5582 9.2071 Å, 90.05 90.05 88.64°
Element x y z (fractional)
Ce 0.2490 0.2490 0.9999
Ce 0.7510 0.7510 0.0001
In 0.2457 0.7543 0.5000
In 0.2527 0.7473 0.0000
In 0.5003 0.5003 0.2692
In 0.4997 0.4997 0.7308
In 0.7473 0.2527 0.0000
In 0.7543 0.2457 0.5000
Sn 0.0004 0.0004 0.2610
Sn 0.9996 0.9996 0.7390
Sn 0.0002 0.5001 0.2659
Sn 0.9998 0.4999 0.7341
Sn 0.5001 0.0002 0.2659
Sn 0.4999 0.9998 0.7341

Largest 10 diffraction maxima, most intense first, 15 to 90 degrees two-theta:
d_spacing, two_theta, I_rel
2.670, 33.6, 100
2.346, 38.4, 18
2.291, 39.3, 17
2.302, 39.1, 15
1.409, 66.3, 14
1.385, 67.6, 13
1.639, 56.1, 12
1.390, 67.4, 11
1.335, 70.5, 11
1.643, 56.0, 11

---

Diffraction record for TbCeIn3. The X-ray diffraction stick pattern is computed, not measured: it uses a DFT-relaxed cell (PBE, Alexandria) and Cu Kα, 1.54184 Å.
Peak positions follow from Bragg's law for the DFT cell and can differ from measured ones.

Structural model:
Cell: 11.7825 11.7825 11.7825 Å, 150.61 150.61 42.04°
Element x y z (fractional)
Tb 0.0000 0.0000 0.0000
Tb 0.7500 0.2500 0.5000
Ce 0.4371 0.4371 0.0000
Ce 0.5629 0.5629 0.0000
In 0.0003 0.5003 0.5000
In 0.3748 0.1273 0.2476
In 0.4997 0.9997 0.5000
In 0.8727 0.1203 0.2476
In 0.8727 0.6252 0.7524
In 0.8797 0.1273 0.7524

Largest 10 diffraction maxima, most intense first, 15 to 90 degrees two-theta:
d_spacing, two_theta, I_rel
5.768, 15.4, 100
2.781, 32.2, 70
2.884, 31.0, 69
2.989, 29.9, 64
1.973, 46.0, 58
2.285, 39.4, 51
2.626, 34.1, 39
2.262, 39.8, 36
2.512, 35.8, 35
3.945, 22.5, 29

---

Diffraction record for Tb4CeIn. The X-ray diffraction stick pattern is computed, not measured: it uses a DFT-relaxed cell (PBE, Alexandria) and Cu Kα, 1.54184 Å.
Peak positions follow from Bragg's law for the DFT cell and can differ from measured ones.

Structural model:
Cell: 7.7860 7.7860 9.9607 Å, 90.00 90.00 143.86°
Element x y z (fractional)
Tb 0.0012 0.9988 0.5000
Tb 0.1752 0.8248 0.2515
Tb 0.3309 0.6691 0.5043
Tb 0.4935 0.5065 0.2481
Tb 0.5065 0.4935 0.7481
Tb 0.6691 0.3309 0.0043
Tb 0.8248 0.1752 0.7515
Tb 0.9988 0.0012 0.0000
Ce 0.3312 0.6688 0.9945
Ce 0.6688 0.3312 0.4945
In 0.1649 0.8351 0.7506
In 0.8351 0.1649 0.2506

Largest 10 diffraction maxima, most intense first, 15 to 90 degrees two-theta:
d_spacing, two_theta, I_rel
2.837, 31.5, 100
2.490, 36.1, 18
2.467, 36.4, 17
2.415, 37.2, 16
1.496, 62.0, 14
1.463, 63.6, 13
1.486, 62.5, 13
1.753, 52.2, 12
1.418, 65.8, 12
1.734, 52.8, 12

---

Diffraction record for TbCeIn4. The X-ray diffraction stick pattern is computed, not measured: it uses a DFT-relaxed cell (PBE, Alexandria) and Cu Kα, 1.54184 Å.
Peak positions follow from Bragg's law for the DFT cell and can differ from measured ones.

Structural model:
Cell: 3.5721 5.0280 8.7378 Å, 90.00 90.00 90.00°
Element x y z (fractional)
Tb 0.0000 0.0000 0.0000
Ce 0.0000 0.5000 0.5000
In 0.4959 0.5000 0.1648
In 0.4967 0.0000 0.6688
In 0.5033 0.0000 0.3312
In 0.5041 0.5000 0.8352

Largest 10 diffraction maxima, most intense first, 15 to 90 degrees two-theta:
d_spacing, two_theta, I_rel
2.764, 32.4, 100
2.518, 35.7, 80
1.457, 63.9, 33
1.861, 48.9, 31
1.498, 62.0, 20
1.495, 62.1, 10
1.786, 51.1, 9
1.453, 64.1, 9
1.127, 86.3, 8
1.149, 84.3, 6

---

Diffraction record for Tb9CeIn2. The X-ray diffraction stick pattern is computed, not measured: it uses a DFT-relaxed cell (PBE, Alexandria) and Cu Kα, 1.54184 Å.
Peak positions follow from Bragg's law for the DFT cell and can differ from measured ones.

Structural model:
Cell: 4.8765 4.8765 14.9768 Å, 90.00 90.00 90.00°
Element x y z (fractional)
Tb 0.0000 0.0000 0.0000
Tb 0.0000 0.0000 0.3378
Tb 0.0000 0.0000 0.6622
Tb 0.0000 0.5000 0.1720
Tb 0.0000 0.5000 0.5000
Tb 0.0000 0.5000 0.8280
Tb 0.5000 0.0000 0.1720
Tb 0.5000 0.0000 0.5000
Tb 0.5000 0.0000 0.8280
Ce 0.5000 0.5000 0.0000
In 0.5000 0.5000 0.3382
In 0.5000 0.5000 0.6618

Largest 10 diffraction maxima, most intense first, 15 to 90 degrees two-theta:
d_spacing, two_theta, I_rel
2.837, 31.5, 100
2.438, 36.9, 33
1.473, 63.1, 27
1.744, 52.5, 23
2.496, 36.0, 17
1.499, 61.9, 14
1.419, 65.8, 12
1.724, 53.1, 12
1.131, 85.9, 11
1.120, 87.0, 6

---

Diffraction record for TbCeTiIn. The X-ray diffraction stick pattern is computed, not measured: it uses a DFT-relaxed cell (PBE, Alexandria) and Cu Kα, 1.54184 Å.
Peak positions follow from Bragg's law for the DFT cell and can differ from measured ones.

Structural model:
Cell: 7.4997 7.4997 7.4997 Å, 90.00 90.00 90.00°
Element x y z (fractional)
Tb 0.0000 0.0000 0.0000
Tb 0.0000 0.5000 0.5000
Tb 0.5000 0.0000 0.5000
Tb 0.5000 0.5000 0.0000
Ce 0.0000 0.0000 0.5000
Ce 0.0000 0.5000 0.0000
Ce 0.5000 0.0000 0.0000
Ce 0.5000 0.5000 0.5000
Ti 0.2500 0.2500 0.2500
Ti 0.2500 0.7500 0.7500
Ti 0.7500 0.2500 0.7500
Ti 0.7500 0.7500 0.2500
In 0.2500 0.2500 0.7500
In 0.2500 0.7500 0.2500
In 0.7500 0.2500 0.2500
In 0.7500 0.7500 0.7500

Largest 10 diffraction maxima, most intense first, 15 to 90 degrees two-theta:
d_spacing, two_theta, I_rel
2.652, 33.8, 100
1.531, 60.5, 36
1.875, 48.6, 18
1.186, 81.1, 16
1.326, 71.1, 11
3.750, 23.7, 10
4.330, 20.5, 5
1.677, 54.7, 4
2.165, 41.7, 3
2.261, 39.9, 3

---

Diffraction record for CeInTc. The X-ray diffraction stick pattern is computed, not measured: it uses a DFT-relaxed cell (PBE, Alexandria) and Cu Kα, 1.54184 Å.
Peak positions follow from Bragg's law for the DFT cell and can differ from measured ones.

Structural model:
Cell: 5.0943 5.0138 5.5578 Å, 90.00 97.77 90.00°
Element x y z (fractional)
Ce 0.0815 0.2500 0.3076
Ce 0.9185 0.7500 0.6924
In 0.4963 0.2500 0.8519
In 0.5037 0.7500 0.1481
Tc 0.3576 0.7500 0.6169
Tc 0.6424 0.2500 0.3831

Largest 10 diffraction maxima, most intense first, 15 to 90 degrees two-theta:
d_spacing, two_theta, I_rel
2.413, 37.3, 100
2.507, 35.8, 77
2.866, 31.2, 70
2.254, 40.0, 40
3.707, 24.0, 37
2.001, 45.3, 36
3.127, 28.5, 36
2.422, 37.1, 32
2.286, 39.4, 26
1.742, 52.5, 23

---

Diffraction record for CeTh5In2Tc. The X-ray diffraction stick pattern is computed, not measured: it uses a DFT-relaxed cell (PBE, Alexandria) and Cu Kα, 1.54184 Å.
Peak positions follow from Bragg's law for the DFT cell and can differ from measured ones.

Structural model:
Cell: 10.3994 10.3994 10.5509 Å, 90.00 90.00 153.42°
Element x y z (fractional)
Ce 0.0971 0.9029 0.7500
Ce 0.9029 0.0971 0.2500
Th 0.0000 0.0000 0.0000
Th 0.0000 0.0000 0.5000
Th 0.1516 0.8484 0.2500
Th 0.2278 0.7722 0.5868
Th 0.2278 0.7722 0.9132
Th 0.4862 0.5138 0.7500
Th 0.5138 0.4862 0.2500
Th 0.7722 0.2278 0.0868
Th 0.7722 0.2278 0.4132
Th 0.8484 0.1516 0.7500
In 0.3836 0.6164 0.0118
In 0.3836 0.6164 0.4882
In 0.6164 0.3836 0.5118
In 0.6164 0.3836 0.9882
Tc 0.2945 0.7055 0.2500
Tc 0.7055 0.2945 0.7500

Largest 10 diffraction maxima, most intense first, 15 to 90 degrees two-theta:
d_spacing, two_theta, I_rel
2.666, 33.6, 100
3.137, 28.5, 70
2.391, 37.6, 48
2.612, 34.3, 41
2.806, 31.9, 40
2.965, 30.1, 34
2.460, 36.5, 26
2.638, 34.0, 19
1.603, 57.5, 19
1.715, 53.4, 19

---

Diffraction record for CeIn2Te. The X-ray diffraction stick pattern is computed, not measured: it uses a DFT-relaxed cell (PBE, Alexandria) and Cu Kα, 1.54184 Å.
Peak positions follow from Bragg's law for the DFT cell and can differ from measured ones.

Structural model:
Cell: 3.7524 3.7524 32.6365 Å, 90.00 90.00 120.00°
Element x y z (fractional)
Ce 0.0000 0.0000 0.0000
Ce 0.3333 0.6667 0.6667
Ce 0.6667 0.3333 0.3333
In 0.0000 0.0000 0.0992
In 0.0000 0.0000 0.9008
In 0.3333 0.6667 0.5675
In 0.3333 0.6667 0.7659
In 0.6667 0.3333 0.2341
In 0.6667 0.3333 0.4325
Te 0.0000 0.0000 0.5000
Te 0.3333 0.6667 0.1667
Te 0.6667 0.3333 0.8333

Largest 10 diffraction maxima, most intense first, 15 to 90 degrees two-theta:
d_spacing, two_theta, I_rel
3.187, 28.0, 100
2.303, 39.1, 88
2.542, 35.3, 51
1.876, 48.5, 47
3.234, 27.6, 38
2.909, 30.7, 33
1.544, 59.9, 24
2.720, 32.9, 23
1.458, 63.8, 20
1.455, 64.0, 20